This entry pairs a crystal structure of Ca4Be4P4O17F3 with its theoretical X-ray powder pattern. Radiation: λ = 1.5418 Å (Cu Kα). Structure: a GGA-PBE-relaxed structure.

Crystal structure
abc: 4.8426 7.7579 9.8010
angles: 90.02 90.67 90.13
Space group P1 (No. 1)
One atom of each set of equivalent atoms:
Ca1 0.0000 0.0000 0.0000
Ca2 0.0028 0.2722 0.5001
Ca3 0.9930 0.7727 0.6617
Ca4 0.9969 0.4952 0.1617
Be1 0.4567 0.9678 0.4935
Be2 0.4600 0.2947 0.9936
Be3 0.5372 0.4689 0.6673
Be4 0.5438 0.7957 0.1669
P1 0.4711 0.6503 0.9136
P2 0.4716 0.6131 0.4116
P3 0.5268 0.1125 0.7493
P4 0.5275 0.1518 0.2503
O1 0.2131 0.7863 0.1426
O2 0.2398 0.7779 0.8766
O3 0.2452 0.4851 0.3703
O4 0.3224 0.0350 0.6394
O5 0.3256 0.2267 0.1389
O6 0.3357 0.7758 0.4764
O7 0.3400 0.4861 0.9770
O8 0.3516 0.0993 0.3753
O9 0.3539 0.1640 0.8755
O10 0.6394 0.6030 0.7849
O11 0.6489 0.6662 0.2872
O12 0.6561 0.2765 0.6828
O13 0.6641 0.9897 0.1851
O14 0.6742 0.5386 0.5232
O15 0.6780 0.7260 0.0223
O16 0.7553 0.2790 0.2919
O17 0.7556 0.9866 0.7899
F1 0.2115 0.4747 0.6560
F2 0.7824 0.9735 0.5053
F3 0.7853 0.2915 0.0052

Largest 6 diffraction maxima, low angle first, 2θ = 10–90°:
h k l	2θ (°)	I_rel
1 0 2	26.0	52
1 1 -2	28.2	100
1 1 2	28.5	84
1 -2 0	29.5	62
-1 2 1	30.8	49
1 -2 1	31.0	43

=====

This entry pairs a crystal structure of CaBePO4F with its theoretical X-ray powder pattern. Radiation: λ = 1.5418 Å (Cu Kα). Structure: a GGA-PBE-relaxed structure.

Crystal structure
abc: 4.8192 7.7487 9.8106
angles: 90.00 90.94 90.00
Space group P2_1/c (No. 14)
One atom of each set of equivalent atoms:
Ca1 0.0042 0.1110 0.1691
Be1 0.4584 0.0863 0.6624
P1 0.4723 0.7303 0.5811
O1 0.2434 0.6033 0.5398
O2 0.3233 0.1547 0.8075
O3 0.3396 0.6066 0.1470
O4 0.3528 0.2177 0.5442
F1 0.2146 0.5919 0.8254

Largest 6 diffraction maxima, low angle first, 2θ = 10–90°:
h k l	2θ (°)	I_rel
1 0 2	26.1	49
1 1 -2	28.2	100
1 1 2	28.6	82
1 2 0	29.6	64
1 2 -1	30.9	47
1 2 -3	40.5	44

=====

This entry pairs a crystal structure of Ca2BeGaRh2 with its theoretical X-ray powder pattern. Radiation: λ = 1.5418 Å (Cu Kα). Structure: a GGA-PBE-relaxed structure.

Crystal structure
abc: 5.8466 13.5125 5.8393
angles: 90.00 90.00 90.00
Space group Ibam (No. 72)
One atom of each set of equivalent atoms:
Ca1 0.2416 0.1699 0.0000
Be1 0.0000 0.5000 0.2500
Ga1 0.0000 0.0000 0.2500
Rh1 0.2151 0.4070 0.0000

Largest 6 diffraction maxima, low angle first, 2θ = 10–90°:
h k l	2θ (°)	I_rel
0 2 0	13.1	69
1 2 1	25.3	61
0 0 2	30.6	58
1 4 1	34.3	100
0 4 2	40.8	78
2 0 2	43.8	61

=====

This entry pairs a crystal structure of Ca2Be3Ge3 with its theoretical X-ray powder pattern. Radiation: λ = 1.5418 Å (Cu Kα). Structure: a GGA-PBE-relaxed structure.

Crystal structure
abc: 2.9091 2.9091 20.1493
angles: 90.00 90.00 90.00
Space group P4/mmm (No. 123)
One atom of each set of equivalent atoms:
Ca1 0.0000 0.0000 0.2488
Be1 0.0000 0.0000 0.1095
Be2 0.0000 0.0000 0.5000
Ge1 0.0000 0.0000 0.0000
Ge2 0.0000 0.0000 0.3906

Largest 6 diffraction maxima, low angle first, 2θ = 10–90°:
h k l	2θ (°)	I_rel
0 0 3	13.2	57
0 0 5	22.1	43
1 0 0	30.7	100
1 0 5	38.2	43
1 1 0	44.0	36
1 0 8	47.8	41

=====

This entry pairs a crystal structure of CaBeGeO4 with its theoretical X-ray powder pattern. Radiation: λ = 1.5418 Å (Cu Kα). Structure: a GGA-PBE-relaxed structure.

Crystal structure
abc: 6.1188 8.9673 5.9427
angles: 90.00 90.00 90.00
Space group Cmcm (No. 63)
One atom of each set of equivalent atoms:
Ca1 0.0000 0.0000 0.0000
Be1 0.0000 0.3608 0.2500
Ge1 0.0000 0.3643 0.7500
O1 0.0000 0.2637 0.0086
O2 0.2067 0.4916 0.2500

Largest 6 diffraction maxima, low angle first, 2θ = 10–90°:
h k l	2θ (°)	I_rel
1 1 1	23.1	68
0 2 1	24.9	48
2 0 0	29.2	66
1 3 0	33.4	67
1 1 2	35.0	100
2 4 2	59.9	54

=====

This entry pairs a crystal structure of Ca2BeZn3Ge4 with its theoretical X-ray powder pattern. Radiation: λ = 1.5418 Å (Cu Kα). Structure: a GGA-PBE-relaxed structure.

Crystal structure
abc: 4.2339 4.2339 10.5745
angles: 90.00 90.00 90.00
Space group P-4m2 (No. 115)
One atom of each set of equivalent atoms:
Ca1 0.0000 0.5000 0.2437
Be1 0.5000 0.5000 0.0000
Zn1 0.0000 0.0000 0.0000
Zn2 0.0000 0.5000 0.6402
Ge1 0.0000 0.0000 0.5000
Ge2 0.0000 0.5000 0.8718
Ge3 0.5000 0.5000 0.5000

Largest 6 diffraction maxima, low angle first, 2θ = 10–90°:
h k l	2θ (°)	I_rel
1 0 1	22.6	53
1 0 3	33.1	64
1 1 2	34.4	100
2 0 0	42.7	84
1 1 4	45.8	69
1 0 5	48.1	38

=====

This entry pairs a crystal structure of Ca2Be3H9 with its theoretical X-ray powder pattern. Radiation: λ = 1.5418 Å (Cu Kα). Structure: a GGA-PBE-relaxed structure.

Crystal structure
abc: 5.9427 5.9427 8.9465
angles: 90.00 90.00 120.00
Space group P6_3/m (No. 176)
One atom of each set of equivalent atoms:
Ca1 0.3333 0.6667 0.0553
Be1 0.0428 0.7940 0.7500
H1 0.0615 0.7628 0.2500
H2 0.0630 0.6794 0.6128

Largest 6 diffraction maxima, low angle first, 2θ = 10–90°:
h k l	2θ (°)	I_rel
1 0 0	17.2	65
0 0 2	19.9	66
1 0 2	26.4	74
1 1 0	30.1	80
1 0 3	34.8	99
1 1 2	36.3	100

=====

This entry pairs a crystal structure of CaBe3H9 with its theoretical X-ray powder pattern. Radiation: λ = 1.5418 Å (Cu Kα). Structure: a GGA-PBE-relaxed structure.

Crystal structure
abc: 7.6202 9.8302 6.7366
angles: 90.00 90.00 90.00
Space group C222_1 (No. 20)
One atom of each set of equivalent atoms:
Ca1 0.1347 0.0000 0.0000
Be1 0.0033 0.3557 0.0755
Be2 0.2500 0.0000 0.5000
H1 0.0000 0.4402 0.2500
H2 0.0207 0.2116 0.1731
H3 0.1334 0.0177 0.6645
H4 0.1549 0.3490 0.5255
H5 0.1562 0.3757 0.9574

Largest 6 diffraction maxima, low angle first, 2θ = 10–90°:
h k l	2θ (°)	I_rel
0 2 0	18.0	100
1 1 1	19.8	84
0 0 2	26.5	57
2 0 1	26.9	56
1 3 0	29.7	51
2 2 1	32.6	89